Starting from DFT lattice parameters and positions (PBE), the powder diffraction line list of Tl2In2SnPb4 was computed for λ = 1.5418 Å (Cu Kα).
Neutral-atom scattering factors, no anomalous dispersion.

Atomic structure:
Lattice parameters (Å, degrees): 6.2265 6.9110 7.4104 90.25 106.77 111.81
Space group P-1 (No. 2)
Unique sites:
Tl (0.0286, 0.2935, 0.1498) x2
In (0.0190, 0.8559, 0.3338) x2
Sn (0.5000, 0.5000, 0.0000) x1
Pb (0.3258, 0.5998, 0.5717) x2
Pb (0.4982, 0.9110, 0.2161) x2

Main lines, by intensity (10 to 80 degrees two-theta):
2θ (°), d [Å], I_rel
30.58, 2.924, 100.0
33.21, 2.698, 69.3
29.31, 3.047, 58.1
31.25, 2.862, 39.0
30.00, 2.979, 38.6
28.58, 3.123, 35.4
32.61, 2.746, 33.9
31.04, 2.881, 32.7
37.79, 2.381, 30.3
33.69, 2.660, 30.2
32.29, 2.773, 25.5
38.78, 2.322, 25.3